NaSiMoO6: simulated powder diffractogram (Cu Kα (λ = 1.5418 Å)), based on a structure optimized by DFT (PBE+U).
Intensities are scaled so that the largest is 100.

Peak list (12 most intense, 2θ = 10–80°, by intensity)
Position (°2θ)	I (rel.)
26.84	100.0
17.20	80.3
50.80	47.6
20.45	46.4
39.99	35.8
35.82	21.6
59.07	21.4
45.32	19.0
64.36	14.0
40.70	13.7
65.89	11.5
57.69	9.3

Structural model:
Cell lengths 5.0141, 5.0141, 5.1556 Å; angles 90.00, 90.00, 120.00 degrees
Space group P312 (No. 149)
Inequivalent atoms, fractional coordinates:
Na  0.0000  0.0000  0.0000
Si  0.6667  0.3333  0.5000
Mo  0.3333  0.6667  0.5000
O  0.3914  0.0224  0.6975